# Li4Ti3O8
Simulated XRD peak list, Cu Kα X-rays. Input: a structure optimized by DFT (PBE).
Lines closer than 0.1° are merged.

Cell and atoms:
abc: 5.886 5.886 5.886
angles: 60.15 60.15 60.15
Sites, in units of the cell vectors:
Li 0.000 0.000 0.000
Li 0.000 0.500 0.500
Li 0.500 0.000 0.500
Li 0.500 0.500 0.000
Ti 0.000 0.000 0.500
Ti 0.000 0.500 0.000
Ti 0.500 0.000 0.000
O 0.214 0.755 0.755
O 0.245 0.245 0.786
O 0.245 0.786 0.245
O 0.246 0.246 0.246
O 0.754 0.754 0.754
O 0.755 0.214 0.755
O 0.755 0.755 0.214
O 0.786 0.245 0.245

Top 10 peaks for 5° ≤ 2θ ≤ 70°, sorted by position:
| 2θ (°) | I/Imax |
| --- | --- |
| 18.5 | 1000 |
| 21.3 | 164 |
| 30.3 | 123 |
| 35.7 | 330 |
| 43.4 | 764 |
| 47.6 | 68 |
| 57.5 | 101 |
| 63.0 | 201 |
| 63.2 | 193 |
| 66.3 | 100 |